For MnCrNi4Sn2, DFT lattice parameters and positions (PBE) gives the calculated powder diffraction line list in this record (copper Kα).

Structure:
a = 4.2943 Å, b = 4.2943 Å, c = 21.0177 Å
α = 90.00°, β = 90.00°, γ = 120.00°
Space group R-3m (No. 166, hexagonal axes)
One atom of each set of equivalent atoms:
1 Mn 0.0000 0.0000 0.0000 (multiplicity 3)
2 Cr 0.0000 0.0000 0.5000 (multiplicity 3)
3 Ni 0.0000 0.0000 0.1247 (multiplicity 6)
4 Ni 0.0000 0.0000 0.3745 (multiplicity 6)
5 Sn 0.0000 0.0000 0.2496 (multiplicity 6)

Principal peaks in the range 2θ = 10–80°, in order of rising 2θ:
| two_theta | Rel. int. | hkl |
| --- | --- | --- |
| 25.4 | 11 | 0 1 2 |
| 29.4 | 3 | 1 0 4 |
| 42.1 | 100 | 1 1 0 |
| 49.8 | 7 | 1 0 10 |
| 61.1 | 16 | 2 0 8 |
| 67.2 | 3 | 0 2 10 |
| 69.2 | 1 | 2 1 4 |
| 76.9 | 32 | 3 0 0 |

---

For MnCrP2, DFT lattice parameters and positions (PBE) gives the calculated powder diffraction line list in this record (copper Kα).

Structure:
a = 3.0105 Å, b = 5.9530 Å, c = 5.3104 Å
α = 90.00°, β = 90.00°, γ = 90.00°
Space group Pmc2_1 (No. 26)
One atom of each set of equivalent atoms:
1 Mn 0.0000 0.0583 0.0000 (multiplicity 2)
2 Cr 0.5000 0.4491 0.9892 (multiplicity 2)
3 P 0.0000 0.3068 0.6784 (multiplicity 2)
4 P 0.5000 0.1820 0.3064 (multiplicity 2)

Principal peaks in the range 2θ = 10–80°, in order of rising 2θ:
| two_theta | Rel. int. | hkl |
| --- | --- | --- |
| 33.4 | 69 | 1 1 0 |
| 33.8 | 24 | 0 0 2 |
| 37.5 | 39 | 1 1 1 |
| 45.8 | 54 | 0 2 2 |
| 46.2 | 60 | 1 2 1 |
| 48.2 | 100 | 1 1 2 |
| 49.0 | 35 | 0 3 1 |
| 55.5 | 31 | 1 3 0 |

---

For Mn3Cr3P2, DFT lattice parameters and positions (PBE) gives the calculated powder diffraction line list in this record (copper Kα).

Structure:
a = 12.7282 Å, b = 4.4269 Å, c = 8.9961 Å
α = 90.00°, β = 134.79°, γ = 90.00°
Space group C2 (No. 5)
One atom of each set of equivalent atoms:
1 Mn 0.0346 0.0000 0.3902 (multiplicity 4)
2 Mn 0.1477 0.5223 0.6754 (multiplicity 4)
3 Mn 0.1694 0.2494 0.9475 (multiplicity 4)
4 Cr 0.0775 0.7874 0.9722 (multiplicity 4)
5 Cr 0.1029 0.2448 0.1801 (multiplicity 4)
6 Cr 0.2221 0.7735 0.3933 (multiplicity 4)
7 P 0.0394 0.5070 0.3344 (multiplicity 4)
8 P 0.2056 0.0148 0.7534 (multiplicity 4)

Principal peaks in the range 2θ = 10–80°, in order of rising 2θ:
| two_theta | Rel. int. | hkl |
| --- | --- | --- |
| 41.5 | 100 | 5 1 -2 |
| 41.6 | 23 | 5 1 -3 |
| 43.3 | 67 | 0 2 1 |
| 45.0 | 46 | 2 0 -4 |
| 46.2 | 49 | 3 1 1 |
| 46.4 | 50 | 5 1 -4 |
| 50.2 | 31 | 4 2 -2 |
| 52.3 | 39 | 4 2 -1 |

---

For MnCrPt6, DFT lattice parameters and positions (PBE) gives the calculated powder diffraction line list in this record (copper Kα).

Structure:
a = 3.9368 Å, b = 3.9368 Å, c = 7.8264 Å
α = 90.00°, β = 90.00°, γ = 90.00°
Space group P4/mmm (No. 123)
One atom of each set of equivalent atoms:
1 Mn 0.0000 0.0000 0.0000 (multiplicity 1)
2 Cr 0.0000 0.0000 0.5000 (multiplicity 1)
3 Pt 0.0000 0.5000 0.2518 (multiplicity 4)
4 Pt 0.5000 0.5000 0.0000 (multiplicity 1)
5 Pt 0.5000 0.5000 0.5000 (multiplicity 1)

Principal peaks in the range 2θ = 10–80°, in order of rising 2θ:
| two_theta | Rel. int. | hkl |
| --- | --- | --- |
| 22.6 | 10 | 1 0 0 |
| 22.7 | 5 | 0 0 2 |
| 32.2 | 12 | 1 1 0 |
| 39.7 | 100 | 1 1 2 |
| 46.1 | 33 | 2 0 0 |
| 46.4 | 16 | 0 0 4 |
| 67.3 | 11 | 2 2 0 |
| 67.5 | 21 | 2 0 4 |

---

For MnCrRe, DFT lattice parameters and positions (PBE) gives the calculated powder diffraction line list in this record (copper Kα).

Structure:
a = 5.7385 Å, b = 5.7385 Å, c = 5.7385 Å
α = 90.00°, β = 90.00°, γ = 90.00°
Space group F-43m (No. 216)
One atom of each set of equivalent atoms:
1 Mn 0.0000 0.0000 0.0000 (multiplicity 4)
2 Cr 0.0000 0.0000 0.5000 (multiplicity 4)
3 Re 0.2500 0.2500 0.7500 (multiplicity 4)

Principal peaks in the range 2θ = 10–80°, in order of rising 2θ:
| two_theta | Rel. int. | hkl |
| --- | --- | --- |
| 26.9 | 100 | 1 1 1 |
| 31.2 | 8 | 2 0 0 |
| 44.7 | 97 | 2 2 0 |
| 52.9 | 48 | 3 1 1 |
| 55.5 | 3 | 2 2 2 |
| 65.0 | 15 | 4 0 0 |
| 71.7 | 19 | 3 3 1 |
| 73.9 | 4 | 4 2 0 |

---

For Mn2Cr13S20, DFT lattice parameters and positions (PBE) gives the calculated powder diffraction line list in this record (copper Kα).

Structure:
a = 7.9442 Å, b = 8.1083 Å, c = 8.7681 Å
α = 77.60°, β = 75.05°, γ = 88.61°
Space group P-1 (No. 2)
One atom of each set of equivalent atoms:
1 Mn 0.1997 0.2000 0.2005 (multiplicity 2)
2 Cr 0.0000 0.0000 0.0000 (multiplicity 1)
3 Cr 0.0364 0.5194 0.8346 (multiplicity 2)
4 Cr 0.1651 0.6814 0.3658 (multiplicity 2)
5 Cr 0.2335 0.7191 0.0337 (multiplicity 2)
6 Cr 0.3654 0.8804 0.5649 (multiplicity 2)
7 Cr 0.3992 0.3987 0.3991 (multiplicity 2)
8 Cr 0.4362 0.9187 0.2342 (multiplicity 2)
9 S 0.0241 0.2506 0.7935 (multiplicity 2)
10 S 0.0923 0.3842 0.3951 (multiplicity 2)
11 S 0.1089 0.8199 0.8064 (multiplicity 2)
12 S 0.1773 0.9491 0.4057 (multiplicity 2)
13 S 0.2235 0.4511 0.9955 (multiplicity 2)
14 S 0.2971 0.5781 0.5945 (multiplicity 2)
15 S 0.3055 0.0172 0.0039 (multiplicity 2)
16 S 0.3750 0.1487 0.6050 (multiplicity 2)
17 S 0.4226 0.6496 0.1933 (multiplicity 2)
18 S 0.4900 0.7814 0.7923 (multiplicity 2)

Principal peaks in the range 2θ = 10–80°, in order of rising 2θ:
| two_theta | Rel. int. | hkl |
| --- | --- | --- |
| 15.8 | 62 | 1 -1 0 |
| 17.7 | 75 | 1 0 -1 |
| 28.0 | 50 | 1 -2 1 |
| 34.8 | 100 | 2 0 3 |
| 44.7 | 54 | 3 -1 3 |
| 44.7 | 54 | 0 4 1 |
| 45.7 | 96 | 4 0 1 |
| 55.5 | 58 | 0 0 5 |

---

For MnCrSeS, DFT lattice parameters and positions (PBE) gives the calculated powder diffraction line list in this record (copper Kα).

Structure:
a = 3.7130 Å, b = 3.7130 Å, c = 17.6289 Å
α = 90.00°, β = 90.00°, γ = 120.00°
Space group R3m (No. 160, hexagonal axes)
One atom of each set of equivalent atoms:
1 Mn 0.0000 0.0000 0.0000 (multiplicity 3)
2 Cr 0.0000 0.0000 0.5202 (multiplicity 3)
3 Se 0.0000 0.0000 0.7656 (multiplicity 3)
4 S 0.0000 0.0000 0.2600 (multiplicity 3)

Principal peaks in the range 2θ = 10–80°, in order of rising 2θ:
| two_theta | Rel. int. | hkl |
| --- | --- | --- |
| 28.2 | 10 | 1 0 1 |
| 34.5 | 100 | 1 0 4 |
| 37.9 | 11 | 0 1 5 |
| 49.1 | 36 | 1 1 0 |
| 50.2 | 29 | 0 1 8 |
| 61.4 | 17 | 0 2 4 |
| 69.8 | 6 | 1 1 9 |
| 72.8 | 9 | 2 0 8 |

---

For MnCr2Se2S2, DFT lattice parameters and positions (PBE) gives the calculated powder diffraction line list in this record (copper Kα).

Structure:
a = 10.4054 Å, b = 10.4054 Å, c = 10.4054 Å
α = 90.00°, β = 90.00°, γ = 90.00°
Space group F-43m (No. 216)
One atom of each set of equivalent atoms:
1 Mn 0.0000 0.0000 0.0000 (multiplicity 4)
2 Mn 0.2500 0.2500 0.2500 (multiplicity 4)
3 Cr 0.1295 0.1295 0.6295 (multiplicity 16)
4 Se 0.1148 0.1148 0.3852 (multiplicity 16)
5 S 0.1362 0.1362 0.8638 (multiplicity 16)

Principal peaks in the range 2θ = 10–80°, in order of rising 2θ:
| two_theta | Rel. int. | hkl |
| --- | --- | --- |
| 14.7 | 34 | 1 1 1 |
| 24.2 | 20 | 2 2 0 |
| 28.4 | 69 | 3 1 1 |
| 29.7 | 27 | 2 2 2 |
| 34.5 | 78 | 4 0 0 |
| 45.3 | 45 | 5 1 1 |
| 49.6 | 100 | 4 4 0 |
| 61.8 | 15 | 4 4 4 |

---

For MnZnCr4S8, DFT lattice parameters and positions (PBE) gives the calculated powder diffraction line list in this record (copper Kα).

Structure:
a = 10.0902 Å, b = 10.0902 Å, c = 10.0902 Å
α = 90.00°, β = 90.00°, γ = 90.00°
Space group F-43m (No. 216)
One atom of each set of equivalent atoms:
1 Mn 0.0000 0.0000 0.0000 (multiplicity 4)
2 Zn 0.2500 0.2500 0.2500 (multiplicity 4)
3 Cr 0.1247 0.1247 0.6247 (multiplicity 16)
4 S 0.1146 0.1146 0.3854 (multiplicity 16)
5 S 0.1357 0.1357 0.8643 (multiplicity 16)

Principal peaks in the range 2θ = 10–80°, in order of rising 2θ:
| two_theta | Rel. int. | hkl |
| --- | --- | --- |
| 25.0 | 37 | 2 2 0 |
| 29.4 | 100 | 3 1 1 |
| 35.6 | 48 | 4 0 0 |
| 44.0 | 13 | 4 2 2 |
| 46.8 | 50 | 5 1 1 |
| 51.2 | 90 | 4 4 0 |
| 71.9 | 17 | 5 5 3 |
| 75.4 | 12 | 8 0 0 |

---

For MnCrSb2, DFT lattice parameters and positions (PBE) gives the calculated powder diffraction line list in this record (copper Kα).

Structure:
a = 4.0497 Å, b = 4.0497 Å, c = 5.6786 Å
α = 90.00°, β = 90.00°, γ = 120.00°
Space group P-3m1 (No. 164)
One atom of each set of equivalent atoms:
1 Mn 0.0000 0.0000 0.0000 (multiplicity 1)
2 Cr 0.0000 0.0000 0.5000 (multiplicity 1)
3 Sb 0.3333 0.6667 0.2493 (multiplicity 2)

Principal peaks in the range 2θ = 10–80°, in order of rising 2θ:
| two_theta | Rel. int. | hkl |
| --- | --- | --- |
| 29.9 | 100 | 0 1 1 |
| 40.9 | 51 | 0 1 2 |
| 44.8 | 46 | 1 1 0 |
| 54.8 | 18 | 2 0 1 |
| 55.1 | 17 | 1 0 3 |
| 62.2 | 14 | 2 0 2 |
| 73.3 | 15 | 1 2 1 |
| 79.9 | 13 | 1 2 2 |